Record 1
Simulated powder diffractogram
Compound: CrTcNi
Radiation: CuKα
Structure: a crystal structure in Alexandria, relaxed with PBE

Lattice parameters (Å, degrees): 2.531 4.882 6.301 78.49 83.34 79.44
Fractional positions:
Cr (0.000, 0.000, 0.000)
Cr (0.319, 0.358, 0.684)
Tc (0.141, 0.119, 0.366)
Tc (0.462, 0.495, 0.033)
Ni (0.660, 0.834, 0.692)
Ni (0.811, 0.650, 0.357)

The 10 most intense peaks (2θ from 10° to 90°), by angle:
2θ = 21.54°, I 17; 2θ = 43.31°, I 44; 2θ = 43.52°, I 55; 2θ = 43.92°, I 97; 2θ = 44.18°, I 100; 2θ = 63.08°, I 13; 2θ = 63.66°, I 12; 2θ = 64.47°, I 12; 2θ = 79.99°, I 12; 2θ = 80.53°, I 12

---

Record 2
Simulated powder diffractogram
Compound: CrTcNi2
Radiation: CuKα
Structure: a crystal structure in Alexandria, relaxed with PBE

Lattice parameters (Å, degrees): 3.560 3.560 3.803 90.00 90.00 90.00
Fractional positions:
Cr (0.000, 0.000, 0.000)
Tc (0.500, 0.500, 0.000)
Ni (0.000, 0.500, 0.500)
Ni (0.500, 0.000, 0.500)

The 10 most intense peaks (2θ from 10° to 90°), by angle:
2θ = 25.01°, I 6; 2θ = 34.51°, I 5; 2θ = 43.09°, I 100; 2θ = 47.83°, I 18; 2θ = 51.33°, I 29; 2θ = 54.73°, I 1; 2θ = 63.33°, I 2; 2θ = 72.78°, I 19; 2θ = 75.54°, I 9; 2θ = 85.82°, I 13

---

Record 3
Simulated powder diffractogram
Compound: Cr2NiTe
Radiation: CuKα
Structure: a crystal structure in Alexandria, relaxed with PBE

Lattice parameters (Å, degrees): 6.210 6.210 6.210 90.00 90.00 90.00
Fractional positions:
Cr (0.000, 0.000, 0.000)
Cr (0.000, 0.500, 0.500)
Cr (0.250, 0.250, 0.250)
Cr (0.250, 0.750, 0.750)
Cr (0.500, 0.000, 0.500)
Cr (0.500, 0.500, 0.000)
Cr (0.750, 0.250, 0.750)
Cr (0.750, 0.750, 0.250)
Ni (0.000, 0.000, 0.500)
Ni (0.000, 0.500, 0.000)
Ni (0.500, 0.000, 0.000)
Ni (0.500, 0.500, 0.500)
Te (0.250, 0.250, 0.750)
Te (0.250, 0.750, 0.250)
Te (0.750, 0.250, 0.250)
Te (0.750, 0.750, 0.750)

The 10 most intense peaks (2θ from 10° to 90°), by angle:
2θ = 24.83°, I 14; 2θ = 28.75°, I 5; 2θ = 41.11°, I 100; 2θ = 48.63°, I 8; 2θ = 59.55°, I 16; 2θ = 65.52°, I 3; 2θ = 67.45°, I 2; 2θ = 74.91°, I 30; 2θ = 80.34°, I 3; 2θ = 89.22°, I 10

---

Record 4
Simulated powder diffractogram
Compound: CrNi2Te
Radiation: CuKα
Structure: a crystal structure in Alexandria, relaxed with PBE

Lattice parameters (Å, degrees): 3.362 3.362 5.265 90.00 90.00 90.00
Fractional positions:
Cr (0.000, 0.000, 0.000)
Ni (0.000, 0.000, 0.461)
Ni (0.500, 0.500, 0.226)
Te (0.500, 0.500, 0.712)

The 10 most intense peaks (2θ from 10° to 90°), by angle:
2θ = 16.84°, I 7; 2θ = 26.51°, I 10; 2θ = 31.57°, I 14; 2θ = 37.84°, I 79; 2θ = 43.67°, I 100; 2θ = 54.59°, I 26; 2θ = 71.70°, I 5; 2θ = 72.37°, I 41; 2θ = 80.85°, I 8; 2θ = 84.04°, I 12

---

Record 5
Simulated powder diffractogram
Compound: TiCr2Ni9
Radiation: CuKα
Structure: a crystal structure in Alexandria, relaxed with PBE

Lattice parameters (Å, degrees): 3.573 3.573 10.725 90.00 90.00 90.00
Fractional positions:
Ti (0.000, 0.000, 0.000)
Cr (0.000, 0.000, 0.337)
Cr (0.000, 0.000, 0.663)
Ni (0.000, 0.500, 0.169)
Ni (0.000, 0.500, 0.500)
Ni (0.000, 0.500, 0.831)
Ni (0.500, 0.000, 0.169)
Ni (0.500, 0.000, 0.500)
Ni (0.500, 0.000, 0.831)
Ni (0.500, 0.500, 0.000)
Ni (0.500, 0.500, 0.334)
Ni (0.500, 0.500, 0.666)

The 5 most intense peaks (2θ from 10° to 90°), by angle:
2θ = 24.92°, I 1; 2θ = 35.53°, I 1; 2θ = 43.88°, I 100; 2θ = 51.12°, I 46; 2θ = 75.20°, I 26

---

Record 6
Simulated powder diffractogram
Compound: TlCrNi
Radiation: CuKα
Structure: a crystal structure in Alexandria, relaxed with PBE

Lattice parameters (Å, degrees): 4.435 4.435 2.982 90.00 90.00 120.00
Fractional positions:
Tl (0.000, 0.000, 0.000)
Cr (0.667, 0.333, 0.480)
Ni (0.333, 0.667, 0.922)

The 10 most intense peaks (2θ from 10° to 90°), by angle:
2θ = 23.16°, I 70; 2θ = 29.97°, I 27; 2θ = 38.21°, I 100; 2θ = 40.69°, I 86; 2θ = 47.34°, I 11; 2θ = 51.35°, I 38; 2θ = 57.05°, I 31; 2θ = 72.41°, I 30; 2θ = 74.05°, I 14; 2θ = 77.08°, I 22

---

Record 7
Simulated powder diffractogram
Compound: VCrNi5
Radiation: CuKα
Structure: a crystal structure in Alexandria, relaxed with PBE

Lattice parameters (Å, degrees): 6.221 6.221 4.603 96.48 96.48 66.26
Fractional positions:
V (0.247, 0.753, 0.750)
V (0.753, 0.247, 0.250)
Cr (0.000, 0.500, 0.000)
Cr (0.500, 0.000, 0.500)
Ni (0.095, 0.284, 0.506)
Ni (0.112, 0.888, 0.250)
Ni (0.284, 0.095, 0.006)
Ni (0.341, 0.450, 0.345)
Ni (0.450, 0.341, 0.845)
Ni (0.550, 0.659, 0.155)
Ni (0.659, 0.550, 0.655)
Ni (0.716, 0.905, 0.994)
Ni (0.888, 0.112, 0.750)
Ni (0.905, 0.716, 0.494)

The 10 most intense peaks (2θ from 10° to 90°), by angle:
2θ = 44.05°, I 24; 2θ = 45.60°, I 54; 2θ = 45.93°, I 50; 2θ = 46.09°, I 100; 2θ = 46.46°, I 45; 2θ = 46.67°, I 48; 2θ = 66.55°, I 14; 2θ = 67.68°, I 22; 2θ = 84.67°, I 11; 2θ = 85.68°, I 12

---

Record 8
Simulated powder diffractogram
Compound: V4CrNi12
Radiation: CuKα
Structure: a crystal structure in Alexandria, relaxed with PBE

Lattice parameters (Å, degrees): 6.404 6.404 6.404 109.47 109.47 109.47
Fractional positions:
V (0.000, 0.000, 0.500)
V (0.000, 0.500, 0.000)
V (0.500, 0.000, 0.000)
V (0.500, 0.500, 0.500)
Cr (0.000, 0.000, 0.000)
Ni (0.000, 0.297, 0.297)
Ni (0.000, 0.703, 0.703)
Ni (0.250, 0.500, 0.750)
Ni (0.250, 0.750, 0.500)
Ni (0.297, 0.000, 0.297)
Ni (0.297, 0.297, 0.000)
Ni (0.500, 0.250, 0.750)
Ni (0.500, 0.750, 0.250)
Ni (0.703, 0.000, 0.703)
Ni (0.703, 0.703, 0.000)
Ni (0.750, 0.250, 0.500)
Ni (0.750, 0.500, 0.250)

The 10 most intense peaks (2θ from 10° to 90°), by angle:
2θ = 24.07°, I 8; 2θ = 38.50°, I 7; 2θ = 42.34°, I 100; 2θ = 45.92°, I 12; 2θ = 49.29°, I 57; 2θ = 52.50°, I 9; 2θ = 58.55°, I 11; 2θ = 72.28°, I 27; 2θ = 87.50°, I 23; 2θ = 90.00°, I 6